(1)
Diffraction record for LiSi7Rh3. The powder diffraction line list is calculated, not measured: it uses DFT lattice parameters and positions (PBE) and Cu Kα.
No peak broadening, texture or thermal motion is included.

Peak list (10 most intense, 15° ≤ 2θ ≤ 90°, in order of falling intensity)
- hkl 0 0 6, 27.18°, d 3.281, rel. 100
- hkl 0 3 6, 50.09°, d 1.821, rel. 64
- hkl 1 1 9, 48.08°, d 1.892, rel. 36
- hkl 3 0 0, 41.23°, d 2.190, rel. 22
- hkl 1 1 0, 23.46°, d 3.793, rel. 18
- hkl 4 1 3, 66.80°, d 1.400, rel. 16
- hkl 3 0 12, 72.01°, d 1.311, rel. 13
- hkl 1 1 6, 36.24°, d 2.479, rel. 12
- hkl 2 1 1, 36.47°, d 2.463, rel. 11
- hkl 4 1 9, 80.08°, d 1.198, rel. 10

Cell and atoms:
Unit cell a=7.5856 b=7.5856 c=19.6511 alpha=90.00 beta=90.00 gamma=120.00
Space group R-3c (No. 167, hexagonal axes)
Asymmetric unit:
Li: 0.0000 0.0000 0.0000 (multiplicity 6)
Si: 0.0000 0.0000 0.2500 (multiplicity 6)
Si: 0.0120 0.2023 0.1357 (multiplicity 36)
Rh: 0.0000 0.3221 0.2500 (multiplicity 18)

(2)
Diffraction record for NbTcP. The powder diffraction line list is calculated, not measured: it uses DFT lattice parameters and positions (PBE) and Cu Kα.
No peak broadening, texture or thermal motion is included.

Peak list (10 most intense, 15° ≤ 2θ ≤ 90°, in order of falling intensity)
- hkl 1 1 -2, 37.84°, d 2.378, rel. 100
- hkl 3 1 0, 43.73°, d 2.070, rel. 27
- hkl 1 1 1, 35.50°, d 2.529, rel. 25
- hkl 0 2 0, 47.25°, d 1.924, rel. 24
- hkl 4 0 -2, 39.84°, d 2.263, rel. 23
- hkl 2 0 1, 37.72°, d 2.385, rel. 20
- hkl 1 1 -1, 27.17°, d 3.282, rel. 15
- hkl 6 0 -1, 66.90°, d 1.399, rel. 12
- hkl 1 1 3, 68.18°, d 1.375, rel. 12
- hkl 4 2 -2, 63.47°, d 1.466, rel. 11

Cell and atoms:
Unit cell a=9.1666 b=3.8476 c=6.3320 alpha=90.00 beta=126.52 gamma=90.00
Space group C2/m (No. 12)
Asymmetric unit:
Nb: 0.0713 0.0000 0.3342 (multiplicity 4)
Tc: 0.1666 0.5000 0.0685 (multiplicity 4)
P: 0.1660 0.5000 0.6987 (multiplicity 4)

(3)
Diffraction record for HoAgBr6. The powder diffraction line list is calculated, not measured: it uses DFT lattice parameters and positions (PBE) and Cu Kα.
No peak broadening, texture or thermal motion is included.

Peak list (10 most intense, 15° ≤ 2θ ≤ 90°, in order of falling intensity)
- hkl -1 1 1, 23.97°, d 3.712, rel. 100
- hkl 1 1 1, 19.01°, d 4.669, rel. 56
- hkl 1 -1 0, 20.06°, d 4.426, rel. 42
- hkl 1 2 1, 27.89°, d 3.199, rel. 40
- hkl 0 4 2, 50.89°, d 1.794, rel. 38
- hkl 0 2 -2, 42.75°, d 2.115, rel. 36
- hkl 1 0 2, 25.64°, d 3.474, rel. 36
- hkl 0 2 -1, 32.79°, d 2.731, rel. 35
- hkl 1 0 -1, 23.04°, d 3.860, rel. 32
- hkl 2 0 3, 42.26°, d 2.138, rel. 30

Cell and atoms:
Unit cell a=5.9203 b=7.2862 c=7.8032 alpha=69.99 beta=72.23 gamma=85.81
Space group P-1 (No. 2)
Asymmetric unit:
Ho: 0.0000 0.0000 0.0000 (multiplicity 1)
Ag: 0.5000 0.5000 0.0000 (multiplicity 1)
Br: 0.0351 0.8144 0.3552 (multiplicity 2)
Br: 0.2627 0.3637 0.8400 (multiplicity 2)
Br: 0.4117 0.8390 0.8063 (multiplicity 2)

(4)
Diffraction record for P2PtRh. The powder diffraction line list is calculated, not measured: it uses DFT lattice parameters and positions (PBE) and Cu Kα.
No peak broadening, texture or thermal motion is included.

Peak list (10 most intense, 15° ≤ 2θ ≤ 90°, in order of falling intensity)
- hkl 2 0 -1, 29.55°, d 3.023, rel. 100
- hkl 1 1 1, 34.31°, d 2.614, rel. 45
- hkl 1 1 -2, 45.92°, d 1.976, rel. 42
- hkl 2 0 0, 24.05°, d 3.700, rel. 33
- hkl 1 1 2, 46.04°, d 1.972, rel. 31
- hkl 3 1 -1, 49.20°, d 1.852, rel. 27
- hkl 2 0 1, 29.69°, d 3.009, rel. 27
- hkl 3 1 1, 49.35°, d 1.847, rel. 25
- hkl 0 0 2, 34.41°, d 2.606, rel. 24
- hkl 3 1 -3, 72.18°, d 1.309, rel. 16

Cell and atoms:
Unit cell a=7.4005 b=3.3109 c=5.2129 alpha=90.00 beta=90.32 gamma=90.00
Space group Cm (No. 8)
Asymmetric unit:
P: 0.0000 0.0000 0.0000 (multiplicity 2)
P: 0.1948 0.5000 0.4819 (multiplicity 2)
Pt: 0.4173 0.0000 0.6984 (multiplicity 2)
Rh: 0.2787 0.0000 0.1948 (multiplicity 2)

(5)
Diffraction record for TbGaP2. The powder diffraction line list is calculated, not measured: it uses DFT lattice parameters and positions (PBE) and Cu Kα.
No peak broadening, texture or thermal motion is included.

Peak list (10 most intense, 15° ≤ 2θ ≤ 90°, in order of falling intensity)
- hkl 0 1 2, 30.27°, d 2.952, rel. 100
- hkl 0 1 8, 40.98°, d 2.202, rel. 54
- hkl 0 0 6, 20.81°, d 4.269, rel. 52
- hkl 1 0 4, 32.66°, d 2.742, rel. 42
- hkl 1 0 10, 46.39°, d 1.957, rel. 41
- hkl 1 0 1, 29.65°, d 3.013, rel. 31
- hkl 1 1 0, 52.22°, d 1.752, rel. 30
- hkl 1 1 6, 56.81°, d 1.621, rel. 22
- hkl 1 1 12, 69.41°, d 1.354, rel. 14
- hkl 1 1 18, 88.53°, d 1.105, rel. 14

Cell and atoms:
Unit cell a=3.5034 b=3.5034 c=25.6146 alpha=90.00 beta=90.00 gamma=120.00
Space group R-3m (No. 166, hexagonal axes)
Asymmetric unit:
Tb: 0.0000 0.0000 0.0000 (multiplicity 3)
Ga: 0.0000 0.0000 0.5000 (multiplicity 3)
P: 0.0000 0.0000 0.1083 (multiplicity 6)

(6)
Diffraction record for Ag2BBr5. The powder diffraction line list is calculated, not measured: it uses DFT lattice parameters and positions (PBE) and Cu Kα.
No peak broadening, texture or thermal motion is included.

Peak list (10 most intense, 15° ≤ 2θ ≤ 90°, in order of falling intensity)
- hkl 1 3 -2, 31.55°, d 2.836, rel. 100
- hkl 1 1 -2, 20.15°, d 4.408, rel. 74
- hkl 3 3 0, 39.36°, d 2.289, rel. 59
- hkl 3 1 -3, 32.10°, d 2.788, rel. 58
- hkl 2 2 -4, 40.95°, d 2.204, rel. 56
- hkl 3 1 0, 30.66°, d 2.916, rel. 54
- hkl 2 0 0, 19.45°, d 4.565, rel. 52
- hkl 3 1 -1, 27.29°, d 3.268, rel. 42
- hkl 4 0 0, 39.58°, d 2.277, rel. 42
- hkl 4 4 -2, 49.32°, d 1.848, rel. 38

Cell and atoms:
Unit cell a=10.4474 b=10.4732 c=9.7221 alpha=90.00 beta=119.35 gamma=90.00
Space group C2/c (No. 15)
Asymmetric unit:
Ag: 0.0000 0.0000 0.0000 (multiplicity 4)
Ag: 0.2500 0.2500 0.0000 (multiplicity 4)
B: 0.0000 0.3980 0.2500 (multiplicity 4)
Br: 0.0000 0.1184 0.7500 (multiplicity 4)
Br: 0.0144 0.2911 0.4293 (multiplicity 8)
Br: 0.1799 0.4838 0.8246 (multiplicity 8)